(1)
Diffraction record for Ba2CuIO2. The XRD peak list is simulated, not measured: it uses a structure optimized by DFT (GGA-PBE) and Cu Kα, 1.54184 Å.
Intensities are scaled so that the largest is 100.

Structural model:
```
Ba2CuIO2
1.0
11.1603 0.0000 0.0000
0.0000 4.4509 0.0000
-0.3452 0.0000 14.2401
Ba Cu I O
8 4 4 8
direct
0.0804 0.2500 0.4051
0.2038 0.2500 0.8943
0.3300 0.7500 0.1435
0.4099 0.7500 0.6799
0.5901 0.2500 0.3201
0.6700 0.2500 0.8565
0.7962 0.7500 0.1057
0.9196 0.7500 0.5949
0.1684 0.2500 0.6538
0.4341 0.7500 0.9086
0.5659 0.2500 0.0914
0.8316 0.7500 0.3462
0.0632 0.2500 0.1439
0.3479 0.7500 0.4138
0.6521 0.2500 0.5862
0.9368 0.7500 0.8561
0.0339 0.2500 0.5812
0.2906 0.7500 0.9664
0.3024 0.2500 0.7288
0.4430 0.2500 0.1734
0.5570 0.7500 0.8266
0.6976 0.7500 0.2712
0.7094 0.2500 0.0336
0.9661 0.7500 0.4188
```

Top 10 peaks for 2θ from 15° to 90°, by angle:
2θ/deg  intensity
25.0  40
25.6  100
26.1  24
26.3  33
26.5  27
32.6  26
33.4  19
35.8  20
36.4  19
40.5  27

(2)
Diffraction record for BaInCu6O8. The XRD peak list is simulated, not measured: it uses a structure optimized by DFT (GGA-PBE) and Cu Kα, 1.54184 Å.
Intensities are scaled so that the largest is 100.

Structural model:
```
BaInCu6O8
1.0
0.0000 4.6968 4.6968
4.6968 0.0000 4.6968
4.6968 4.6968 0.0000
Ba In Cu O
1 1 6 8
direct
0.0000 0.0000 0.0000
0.5000 0.5000 0.5000
0.0000 0.0000 0.5000
0.0000 0.5000 0.0000
0.0000 0.5000 0.5000
0.5000 0.0000 0.0000
0.5000 0.0000 0.5000
0.5000 0.5000 0.0000
0.0733 0.6422 0.6422
0.3578 0.3578 0.3578
0.3578 0.3578 0.9267
0.3578 0.9267 0.3578
0.6422 0.0733 0.6422
0.6422 0.6422 0.0733
0.6422 0.6422 0.6422
0.9267 0.3578 0.3578
```

Top 10 peaks for 2θ from 15° to 90°, by angle:
2θ/deg  intensity
18.9  4
26.8  8
31.6  3
33.0  100
38.3  34
43.1  6
55.3  42
66.0  37
69.3  8
82.1  6

(3)
Diffraction record for Ba3In4Cu3O12. The XRD peak list is simulated, not measured: it uses a structure optimized by DFT (GGA-PBE) and Cu Kα, 1.54184 Å.
Intensities are scaled so that the largest is 100.

Structural model:
```
Ba3In4Cu3O12
1.0
-6.1670 6.1670 4.3138
6.1670 -6.1670 4.3138
6.1670 6.1670 -4.3138
Ba In Cu O
6 8 6 24
direct
0.0000 0.0000 0.0000
0.2204 0.7204 0.9409
0.2796 0.2204 0.5000
0.5000 0.5000 0.0000
0.7204 0.7796 0.5000
0.7796 0.2796 0.0591
0.0071 0.2500 0.7571
0.2500 0.0071 0.7571
0.2500 0.4929 0.2429
0.4929 0.2500 0.2429
0.5071 0.7500 0.7571
0.7500 0.5071 0.7571
0.7500 0.9929 0.2429
0.9929 0.7500 0.2429
0.1048 0.3952 0.5000
0.2500 0.7500 0.5000
0.3952 0.8952 0.2903
0.6048 0.1048 0.7097
0.7500 0.2500 0.5000
0.8952 0.6048 0.5000
0.0018 0.2692 0.2709
0.1152 0.8401 0.5000
0.1202 0.1202 0.7404
0.1202 0.3798 0.0000
0.1599 0.6599 0.2751
0.2308 0.4982 0.7291
0.2692 0.9982 0.2674
0.3401 0.6152 0.5000
0.3798 0.1202 0.0000
0.3798 0.3798 0.2596
0.3848 0.8848 0.7249
0.4982 0.7692 0.2674
0.5018 0.2308 0.7326
0.6152 0.1152 0.2751
0.6202 0.6202 0.7404
0.6202 0.8798 0.0000
0.6599 0.3848 0.5000
0.7308 0.0018 0.7326
0.7692 0.5018 0.2709
0.8401 0.3401 0.7249
0.8798 0.6202 0.0000
0.8798 0.8798 0.2596
0.8848 0.1599 0.5000
0.9982 0.7308 0.7291
```

Top 10 peaks for 2θ from 15° to 90°, by angle:
2θ/deg  intensity
28.1  21
29.0  47
29.1  100
30.9  34
31.7  16
41.4  46
41.9  30
51.4  26
51.7  19
60.4  28

(4)
Diffraction record for BaInCu3Se4. The XRD peak list is simulated, not measured: it uses a structure optimized by DFT (GGA-PBE) and Cu Kα, 1.54184 Å.
Intensities are scaled so that the largest is 100.

Structural model:
```
BaInCu3Se4
1.0
6.3557 0.0000 0.0000
0.0000 6.3557 0.0000
0.0000 0.0000 6.3557
Ba In Cu Se
1 1 3 4
direct
0.0000 0.0000 0.0000
0.5000 0.5000 0.5000
0.0000 0.5000 0.5000
0.5000 0.0000 0.5000
0.5000 0.5000 0.0000
0.2712 0.2712 0.7288
0.2712 0.7288 0.2712
0.7288 0.2712 0.2712
0.7288 0.7288 0.7288
```

Top 10 peaks for 2θ from 15° to 90°, by angle:
2θ/deg  intensity
19.8  37
24.3  66
34.6  20
40.1  100
47.4  29
54.0  13
58.0  15
63.8  10
72.9  29
86.7  9

(5)
Diffraction record for Ba2LaNbCu2O8. The XRD peak list is simulated, not measured: it uses a structure optimized by DFT (GGA-PBE) and Cu Kα, 1.54184 Å.
Intensities are scaled so that the largest is 100.

Structural model:
```
Ba2LaNbCu2O8
1.0
-2.8342 2.8342 12.1869
2.8342 -2.8342 12.1869
2.8342 2.8342 -12.1869
Ba La Nb Cu O
4 2 2 4 16
direct
0.0977 0.5977 0.5000
0.4023 0.9023 0.5000
0.5977 0.0977 0.5000
0.9023 0.4023 0.5000
0.2500 0.7500 0.5000
0.7500 0.2500 0.5000
0.0000 0.0000 0.0000
0.5000 0.5000 0.0000
0.1780 0.1780 0.0000
0.3220 0.3220 0.0000
0.6780 0.6780 0.0000
0.8220 0.8220 0.0000
0.0634 0.0652 0.5000
0.0652 0.5652 0.0018
0.0817 0.0817 0.0000
0.2219 0.7219 0.9439
0.2781 0.2219 0.5000
0.4183 0.4183 0.0000
0.4348 0.4366 0.5000
0.4366 0.9366 0.0018
0.5634 0.0634 0.9982
0.5652 0.5634 0.5000
0.5817 0.5817 0.0000
0.7219 0.7781 0.5000
0.7781 0.2781 0.0561
0.9183 0.9183 0.0000
0.9348 0.4348 0.9982
0.9366 0.9348 0.5000
```

Top 10 peaks for 2θ from 15° to 90°, by angle:
2θ/deg  intensity
31.4  100
31.6  53
37.1  12
38.7  12
45.2  34
55.7  12
56.1  39
65.4  10
65.9  10
74.9  9

(6)
Diffraction record for Ba2LaCu3O7. The XRD peak list is simulated, not measured: it uses a structure optimized by DFT (GGA-PBE) and Cu Kα, 1.54184 Å.
Intensities are scaled so that the largest is 100.

Structural model:
```
Ba2LaCu3O7
1.0
3.9929 0.0000 0.0000
0.0000 3.9929 0.0000
0.0000 0.0000 11.5944
Ba La Cu O
2 1 3 7
direct
0.0000 0.0000 0.0000
0.0000 0.0000 0.3384
0.0000 0.0000 0.6657
0.5000 0.5000 0.1607
0.5000 0.5000 0.5220
0.5000 0.5000 0.8226
0.0000 0.5000 0.1845
0.0000 0.5000 0.5258
0.0000 0.5000 0.7948
0.5000 0.0000 0.1845
0.5000 0.0000 0.5258
0.5000 0.0000 0.7948
0.5000 0.5000 0.9916
```

Top 10 peaks for 2θ from 15° to 90°, by angle:
2θ/deg  intensity
22.3  11
31.7  42
32.2  100
39.5  15
45.4  28
47.0  10
56.8  39
57.8  16
66.2  9
67.5  13

(7)
Diffraction record for Ba2LaCu3O7. The XRD peak list is simulated, not measured: it uses a structure optimized by DFT (GGA-PBE) and Cu Kα, 1.54184 Å.
Intensities are scaled so that the largest is 100.

Structural model:
```
Ba2LaCu3O7
1.0
3.9120 0.0000 0.0000
0.0000 3.9786 0.0000
0.0000 0.0000 11.9009
Ba La Cu O
2 1 3 7
direct
0.0000 0.0000 0.1790
0.0000 0.0000 0.8210
0.0000 0.0000 0.5000
0.5000 0.5000 0.0000
0.5000 0.5000 0.3443
0.5000 0.5000 0.6557
0.0000 0.5000 0.3691
0.0000 0.5000 0.6309
0.5000 0.0000 0.0000
0.5000 0.0000 0.3663
0.5000 0.0000 0.6337
0.5000 0.5000 0.1576
0.5000 0.5000 0.8424
```

Top 10 peaks for 2θ from 15° to 90°, by angle:
2θ/deg  intensity
22.4  10
31.9  47
32.1  100
39.5  14
45.6  15
45.7  11
46.4  14
56.9  38
57.4  17
67.1  9

(8)
Diffraction record for Ba3La3Cu6O14. The XRD peak list is simulated, not measured: it uses a structure optimized by DFT (GGA-PBE) and Cu Kα, 1.54184 Å.
Intensities are scaled so that the largest is 100.

Structural model:
```
Ba3La3Cu6O14
1.0
5.6605 0.0000 0.0000
0.0000 5.7428 0.0000
0.0000 0.0000 11.0628
Ba La Cu O
3 3 6 14
direct
0.0000 0.0000 0.0000
0.5000 0.5000 0.3311
0.5000 0.5000 0.6689
0.0000 0.0000 0.3376
0.0000 0.0000 0.6624
0.5000 0.5000 0.0000
0.0000 0.5000 0.1492
0.0000 0.5000 0.5000
0.0000 0.5000 0.8508
0.5000 0.0000 0.1586
0.5000 0.0000 0.5000
0.5000 0.0000 0.8414
0.2157 0.2453 0.5000
0.2157 0.7547 0.5000
0.2467 0.2667 0.1541
0.2467 0.2667 0.8459
0.2467 0.7333 0.1541
0.2467 0.7333 0.8459
0.5000 0.0000 0.3334
0.5000 0.0000 0.6666
0.7533 0.2667 0.1541
0.7533 0.2667 0.8459
0.7533 0.7333 0.1541
0.7533 0.7333 0.8459
0.7843 0.2453 0.5000
0.7843 0.7547 0.5000
```

Top 10 peaks for 2θ from 15° to 90°, by angle:
2θ/deg  intensity
22.0  12
31.1  23
31.6  22
32.9  100
45.0  30
49.4  11
56.6  21
57.1  20
69.0  14
75.3  9

- What is the formula in the eighth record?
  Ba3La3Cu6O14